Structure and theoretical powder diffractogram of Te3C4 (DFT lattice parameters and positions (GGA-PBE); Cu Kα (λ = 1.5418 Å)).

Cell and atoms:
```
data_Te3C4
_cell_length_a 3.5030
_cell_length_b 3.5030
_cell_length_c 22.7958
_cell_angle_alpha 90.00
_cell_angle_beta 90.00
_cell_angle_gamma 90.00
_space_group_name_H-M_alt 'I 4/m m m'
_space_group_IT_number 139
_space_group_name_Hall '-I 4 2'
loop_
_atom_site_label
_atom_site_fract_x
_atom_site_fract_y
_atom_site_fract_z
Te1 0.0000 0.0000 0.0000
Te2 0.0000 0.0000 0.3059
C1 0.0000 0.0000 0.2112
C2 0.0000 0.0000 0.4707
```

Largest 10 diffraction maxima, by angle, 5° ≤ 2θ ≤ 70°:
Position (°2θ)  Rel. int.  index
7.76  20  0 0 2
15.55  45  0 0 4
23.41  29  0 0 6
28.05  100  1 0 3
36.27  47  1 1 0
37.72  32  1 0 7
43.62  21  1 1 6
54.72  22  1 1 10
58.90  19  1 0 13
60.32  24  2 1 3

---

Structure and theoretical powder diffractogram of Na3LiCd8 (DFT lattice parameters and positions (GGA-PBE); Cu Kα (λ = 1.5418 Å)).

Cell and atoms:
```
data_Na3LiCd8
_cell_length_a 5.8993
_cell_length_b 5.8993
_cell_length_c 29.5282
_cell_angle_alpha 90.00
_cell_angle_beta 90.00
_cell_angle_gamma 120.00
_space_group_name_H-M_alt 'R 3 m'
_space_group_IT_number 160
_space_group_name_Hall 'R 3 -2"'
loop_
_atom_site_label
_atom_site_fract_x
_atom_site_fract_y
_atom_site_fract_z
Na1 0.0000 0.0000 0.0000
Na2 0.0000 0.0000 0.1260
Na3 0.0000 0.0000 0.6239
Li1 0.0000 0.0000 0.5002
Cd1 0.0000 0.0000 0.3125
Cd2 0.0000 0.0000 0.8126
Cd3 0.0014 0.5007 0.0634
Cd4 0.1669 0.3339 0.8948
```

Largest 10 diffraction maxima, by angle, 5° ≤ 2θ ≤ 70°:
Position (°2θ)  Rel. int.  index
18.02  35  0 0 6
18.38  100  0 1 2
35.10  32  1 0 10
35.48  63  1 1 6
35.67  31  2 0 2
36.52  31  0 0 12
37.25  87  0 2 4
43.06  48  2 0 8
62.04  21  0 2 16
63.03  20  2 2 0

---

Structure and theoretical powder diffractogram of Nb3Mo8W (DFT lattice parameters and positions (GGA-PBE); Cu Kα (λ = 1.5418 Å)).

Cell and atoms:
```
data_Nb3Mo8W
_cell_length_a 4.5314
_cell_length_b 6.9504
_cell_length_c 6.9916
_cell_angle_alpha 80.86
_cell_angle_beta 71.14
_cell_angle_gamma 71.07
_space_group_name_H-M_alt 'P -1'
_space_group_IT_number 2
_space_group_name_Hall '-P 1'
loop_
_atom_site_label
_atom_site_fract_x
_atom_site_fract_y
_atom_site_fract_z
Nb1 0.0000 0.0000 0.0000
Nb2 0.4998 0.2509 0.7492
Mo1 0.1693 0.0829 0.5785
Mo2 0.1695 0.5789 0.0824
Mo3 0.3293 0.1703 0.1710
Mo4 0.3320 0.6677 0.6681
W1 0.0000 0.5000 0.5000
```

Largest 10 diffraction maxima, by angle, 5° ≤ 2θ ≤ 70°:
Position (°2θ)  Rel. int.  index
13.45  5  0 1 0
19.64  1  0 1 -1
21.69  1  1 1 1
21.94  1  1 1 0
28.81  1  1 0 -1
29.40  1  1 1 -1
29.51  1  1 2 0
39.75  100  2 1 1
39.91  99  1 3 1
57.59  33  2 3 -1